No. 1
Simulated powder diffractogram
Compound: LiVSnO4
Radiation: λ = 1.5418 Å (Cu Kα)
Structure: a DFT-relaxed cell (PBE+U, the Materials Project)
Peak positions follow from Bragg's law for the DFT cell and can differ from measured ones.

Largest 10 diffraction maxima, in order of rising 2θ, 2θ = 10–80°:
- hkl 0 1 1, 17.3°, I 23.6
- hkl 1 0 1, 17.7°, I 100.0
- hkl 1 2 1, 33.7°, I 60.8
- hkl 0 2 2, 35.0°, I 14.3
- hkl 2 0 2, 35.9°, I 12.9
- hkl 0 0 4, 40.5°, I 20.9
- hkl 2 2 0, 41.5°, I 38.9
- hkl 1 2 3, 44.6°, I 14.4
- hkl 3 2 1, 55.1°, I 16.7
- hkl 2 2 4, 59.4°, I 26.4

Structure:
```
data_LiVSnO4
_chemical_formula_sum 'Li4 V4 Sn4 O16'
_symmetry_space_group_name_H-M 'I m m a'
_symmetry_Int_Tables_number 74
_symmetry_space_group_name_Hall '-I 2b 2'
_cell_length_a 6.050
_cell_length_b 6.279
_cell_length_c 8.905
_cell_angle_alpha 90.00
_cell_angle_beta 90.00
_cell_angle_gamma 90.00
loop_
_atom_site_label
_atom_site_type_symbol
_atom_site_fract_x
_atom_site_fract_y
_atom_site_fract_z
Li1 Li 0.000 0.250 0.127
V1 V 0.250 0.250 0.750
Sn1 Sn 0.000 0.000 0.500
O1 O 0.000 0.031 0.736
O2 O 0.233 0.250 0.510
```

No. 2
Simulated powder diffractogram
Compound: Li4V5Sn3O16
Radiation: λ = 1.5418 Å (Cu Kα)
Structure: a DFT-relaxed cell (PBE+U, the Materials Project)
Peak positions follow from Bragg's law for the DFT cell and can differ from measured ones.

Largest 10 diffraction maxima, in order of rising 2θ, 2θ = 10–80°:
- hkl 0 0 2, 18.4°, I 100.0
- hkl 2 0 1, 19.2°, I 95.4
- hkl 2 0 2, 25.1°, I 23.8
- hkl 4 0 -1, 35.0°, I 51.5
- hkl 2 2 -1, 35.3°, I 45.8
- hkl 2 2 1, 35.4°, I 28.8
- hkl 2 2 -3, 44.3°, I 25.5
- hkl 2 2 3, 44.6°, I 40.8
- hkl 4 0 5, 59.6°, I 24.7
- hkl 6 2 0, 60.7°, I 29.4

Structure:
```
data_Li4V5Sn3O16
_chemical_formula_sum 'Li8 V10 Sn6 O32'
_symmetry_space_group_name_H-M 'C 1 m 1'
_symmetry_Int_Tables_number 8
_symmetry_space_group_name_Hall 'C -2y'
_cell_length_a 10.602
_cell_length_b 6.065
_cell_length_c 9.649
_cell_angle_alpha 90.00
_cell_angle_beta 90.69
_cell_angle_gamma 90.00
loop_
_atom_site_label
_atom_site_type_symbol
_atom_site_fract_x
_atom_site_fract_y
_atom_site_fract_z
Li1 Li 0.000 0.000 0.000
Li2 Li 0.005 0.000 0.489
Li3 Li 0.158 0.500 0.893
Li4 Li 0.318 0.000 0.387
V1 V 0.075 0.264 0.210
V2 V 0.151 0.500 0.481
V3 V 0.161 0.000 0.712
V4 V 0.317 0.000 0.993
Sn1 Sn 0.323 0.500 0.212
Sn2 Sn 0.407 0.246 0.712
O1 O 0.000 0.000 0.304
O2 O 0.014 0.500 0.340
O3 O 0.081 0.245 0.599
O4 O 0.155 0.500 0.097
O5 O 0.161 0.000 0.104
O6 O 0.226 0.279 0.342
O7 O 0.249 0.216 0.841
O8 O 0.322 0.000 0.594
O9 O 0.331 0.500 0.588
O10 O 0.413 0.242 0.097
O11 O 0.473 0.000 0.847
O12 O 0.496 0.500 0.815
```

No. 3
Simulated powder diffractogram
Compound: Li3V4SnO12
Radiation: λ = 1.5418 Å (Cu Kα)
Structure: a DFT-relaxed cell (PBE+U, the Materials Project)
Peak positions follow from Bragg's law for the DFT cell and can differ from measured ones.

Largest 10 diffraction maxima, in order of rising 2θ, 2θ = 10–80°:
- hkl 0 0 1, 12.0°, I 69.7
- hkl 0 1 0, 16.3°, I 45.3
- hkl 1 0 0, 17.3°, I 44.7
- hkl 0 1 1, 19.4°, I 32.3
- hkl 0 1 -1, 21.1°, I 52.5
- hkl 1 1 -1, 27.4°, I 45.9
- hkl 1 1 2, 32.9°, I 100.0
- hkl -1 1 2, 33.2°, I 45.6
- hkl 2 0 0, 34.9°, I 31.6
- hkl 1 -1 2, 35.1°, I 33.3

Structure:
```
data_Li3V4SnO12
_chemical_formula_sum 'Li3 V4 Sn1 O12'
_symmetry_space_group_name_H-M 'P 1'
_symmetry_Int_Tables_number 1
_symmetry_space_group_name_Hall 'P 1'
_cell_length_a 5.139
_cell_length_b 5.476
_cell_length_c 7.409
_cell_angle_alpha 84.97
_cell_angle_beta 89.46
_cell_angle_gamma 89.70
loop_
_atom_site_label
_atom_site_type_symbol
_atom_site_fract_x
_atom_site_fract_y
_atom_site_fract_z
Li1 Li 0.000 0.000 0.000
Li2 Li 0.000 0.001 0.492
Li3 Li 0.494 0.488 0.495
V1 V 0.011 0.575 0.769
V2 V 0.477 0.040 0.300
V3 V 0.519 0.065 0.779
V4 V 0.983 0.557 0.293
Sn1 Sn 0.499 0.484 0.995
O1 O 0.116 0.602 0.543
O2 O 0.191 0.902 0.241
O3 O 0.205 0.287 0.863
O4 O 0.301 0.777 0.867
O5 O 0.324 0.413 0.241
O6 O 0.382 0.097 0.532
O7 O 0.615 0.112 0.054
O8 O 0.677 0.408 0.743
O9 O 0.690 0.793 0.354
O10 O 0.804 0.907 0.734
O11 O 0.812 0.294 0.357
O12 O 0.867 0.610 0.039
```